Record 1
For La2Ga12Pt, a PBE-relaxed structure gives the calculated powder diffraction line list in this record (copper Kα).
Intensities are scaled so that the largest is 100.

a = 6.2194 Å, b = 6.2194 Å, c = 15.5927 Å
α = 90.00°, β = 90.00°, γ = 90.00°
Atoms (fractional coordinates):
La (0.2500, 0.7500, 0.2427)
La (0.2500, 0.7500, 0.7573)
La (0.7500, 0.2500, 0.2427)
La (0.7500, 0.2500, 0.7573)
Ga (0.0002, 0.9998, 0.0882)
Ga (0.9998, 0.0002, 0.9118)
Ga (0.9998, 0.4998, 0.0882)
Ga (0.0002, 0.5002, 0.9118)
Ga (0.0790, 0.5790, 0.4313)
Ga (0.0790, 0.9210, 0.5687)
Ga (0.2500, 0.2500, 0.1858)
Ga (0.2500, 0.2500, 0.3458)
Ga (0.2500, 0.2500, 0.6542)
Ga (0.2500, 0.2500, 0.8142)
Ga (0.4210, 0.5790, 0.5687)
Ga (0.4210, 0.9210, 0.4313)
Ga (0.5002, 0.0002, 0.0882)
Ga (0.4998, 0.9998, 0.9118)
Ga (0.4998, 0.5002, 0.0882)
Ga (0.5002, 0.4998, 0.9118)
Ga (0.5790, 0.0790, 0.5687)
Ga (0.5790, 0.4210, 0.4313)
Ga (0.7500, 0.7500, 0.1858)
Ga (0.7500, 0.7500, 0.3458)
Ga (0.7500, 0.7500, 0.6542)
Ga (0.7500, 0.7500, 0.8142)
Ga (0.9210, 0.0790, 0.4313)
Ga (0.9210, 0.4210, 0.5687)
Pt (0.2500, 0.7500, 0.0000)
Pt (0.7500, 0.2500, 0.0000)

Most intense lines, 2θ = 10–90°, by angle:
- 2θ 30.65, I = 73.9
- 2θ 30.96, I = 50.3
- 2θ 36.98, I = 41.8
- 2θ 41.03, I = 100.0
- 2θ 45.49, I = 27.4
- 2θ 52.09, I = 37.3

---

Record 2
For MgSi2, a PBE-relaxed structure gives the calculated powder diffraction line list in this record (copper Kα).
Intensities are scaled so that the largest is 100.

a = 5.4621 Å, b = 5.4621 Å, c = 12.3168 Å
α = 102.16°, β = 102.16°, γ = 40.16°
Atoms (fractional coordinates):
Mg (0.0000, 0.0000, 0.0000)
Mg (0.5143, 0.5143, 0.4637)
Mg (0.6527, 0.6527, 0.7042)
Mg (0.9139, 0.9139, 0.2393)
Si (0.0073, 0.0073, 0.7835)
Si (0.1920, 0.1920, 0.1860)
Si (0.2311, 0.2311, 0.8955)
Si (0.2418, 0.2418, 0.5595)
Si (0.3672, 0.3672, 0.7565)
Si (0.6383, 0.6383, 0.2887)
Si (0.7411, 0.7411, 0.0235)
Si (0.8080, 0.8080, 0.4593)

Most intense lines, 2θ = 10–90°, by angle:
- 2θ 27.01, I = 68.6
- 2θ 29.77, I = 48.5
- 2θ 35.31, I = 36.3
- 2θ 39.26, I = 100.0
- 2θ 47.53, I = 49.4
- 2θ 48.54, I = 51.7

---

Record 3
For Rb2Pd2Rh, a PBE-relaxed structure gives the calculated powder diffraction line list in this record (copper Kα).
Intensities are scaled so that the largest is 100.

a = 6.7548 Å, b = 6.7548 Å, c = 5.6011 Å
α = 90.00°, β = 90.00°, γ = 90.00°
Atoms (fractional coordinates):
Rb (0.1828, 0.3172, 0.0000)
Rb (0.3172, 0.8172, 0.0000)
Rb (0.6828, 0.1828, 0.0000)
Rb (0.8172, 0.6828, 0.0000)
Pd (0.1378, 0.6378, 0.5000)
Pd (0.3622, 0.1378, 0.5000)
Pd (0.6378, 0.8622, 0.5000)
Pd (0.8622, 0.3622, 0.5000)
Rh (0.0000, 0.0000, 0.5000)
Rh (0.5000, 0.5000, 0.5000)

Most intense lines, 2θ = 10–90°, by angle:
- 2θ 15.82, I = 23.4
- 2θ 30.92, I = 27.7
- 2θ 31.96, I = 45.0
- 2θ 33.71, I = 100.0
- 2θ 42.31, I = 28.7
- 2θ 53.99, I = 27.8

---

Record 4
For Sm3SnPb3, a PBE-relaxed structure gives the calculated powder diffraction line list in this record (copper Kα).
Intensities are scaled so that the largest is 100.

a = 9.0921 Å, b = 9.0921 Å, c = 5.7688 Å
α = 90.00°, β = 90.00°, γ = 120.00°
Atoms (fractional coordinates):
Sm (0.0910, 0.6418, 0.2500)
Sm (0.3582, 0.4492, 0.2500)
Sm (0.4492, 0.0910, 0.7500)
Sm (0.5508, 0.9090, 0.2500)
Sm (0.6418, 0.5508, 0.7500)
Sm (0.9090, 0.3582, 0.7500)
Sn (0.3333, 0.6667, 0.7500)
Sn (0.6667, 0.3333, 0.2500)
Pb (0.0533, 0.8026, 0.7500)
Pb (0.1974, 0.2507, 0.7500)
Pb (0.2507, 0.0533, 0.2500)
Pb (0.7493, 0.9467, 0.7500)
Pb (0.8026, 0.7493, 0.2500)
Pb (0.9467, 0.1974, 0.2500)

Most intense lines, 2θ = 10–90°, by angle:
- 2θ 30.03, I = 23.3
- 2θ 31.00, I = 29.4
- 2θ 33.89, I = 100.0
- 2θ 57.02, I = 23.0
- 2θ 62.97, I = 20.3
- 2θ 88.55, I = 18.8

---

Record 5
For Pr2Tm2Se5, a PBE-relaxed structure gives the calculated powder diffraction line list in this record (copper Kα).
Intensities are scaled so that the largest is 100.

a = 8.4096 Å, b = 8.4096 Å, c = 7.7130 Å
α = 90.00°, β = 90.00°, γ = 55.16°
Atoms (fractional coordinates):
Pr (0.1982, 0.1982, 0.0000)
Pr (0.3018, 0.3018, 0.5000)
Pr (0.6982, 0.6982, 0.5000)
Pr (0.8018, 0.8018, 0.0000)
Tm (0.1512, 0.8488, 0.6564)
Tm (0.3488, 0.6512, 0.1564)
Tm (0.6512, 0.3488, 0.8436)
Tm (0.8488, 0.1512, 0.3436)
Se (0.0000, 0.0000, 0.0000)
Se (0.0263, 0.7101, 0.3460)
Se (0.2101, 0.5263, 0.8460)
Se (0.2899, 0.9737, 0.3460)
Se (0.4737, 0.7899, 0.8460)
Se (0.5000, 0.5000, 0.5000)
Se (0.5263, 0.2101, 0.1540)
Se (0.7101, 0.0263, 0.6540)
Se (0.7899, 0.4737, 0.1540)
Se (0.9737, 0.2899, 0.6540)

Most intense lines, 2θ = 10–90°, by angle:
- 2θ 28.33, I = 52.7
- 2θ 31.53, I = 100.0
- 2θ 32.68, I = 45.7
- 2θ 35.31, I = 91.5
- 2θ 37.04, I = 70.5
- 2θ 37.32, I = 71.1

---

Record 6
For Yb3Sb5O12, a PBE-relaxed structure gives the calculated powder diffraction line list in this record (copper Kα).
Intensities are scaled so that the largest is 100.

a = 9.2265 Å, b = 9.2265 Å, c = 9.2265 Å
α = 109.47°, β = 109.47°, γ = 109.47°
Atoms (fractional coordinates):
Yb (0.2500, 0.5000, 0.7500)
Yb (0.2500, 0.7500, 0.5000)
Yb (0.5000, 0.2500, 0.7500)
Yb (0.5000, 0.7500, 0.2500)
Yb (0.7500, 0.2500, 0.5000)
Yb (0.7500, 0.5000, 0.2500)
Sb (0.0000, 0.0000, 0.5000)
Sb (0.0000, 0.2604, 0.2604)
Sb (0.0000, 0.5000, 0.0000)
Sb (0.0000, 0.7396, 0.7396)
Sb (0.2604, 0.0000, 0.2604)
Sb (0.2604, 0.2604, 0.0000)
Sb (0.5000, 0.0000, 0.0000)
Sb (0.5000, 0.5000, 0.5000)
Sb (0.7396, 0.0000, 0.7396)
Sb (0.7396, 0.7396, 0.0000)
O (0.0000, 0.2256, 0.4723)
O (0.0000, 0.4723, 0.2256)
O (0.0000, 0.5277, 0.7744)
O (0.0000, 0.7744, 0.5277)
O (0.2256, 0.0000, 0.4723)
O (0.2256, 0.2256, 0.7533)
O (0.2256, 0.4723, 0.0000)
O (0.2256, 0.7533, 0.2256)
O (0.2467, 0.4723, 0.4723)
O (0.2467, 0.7744, 0.7744)
O (0.4723, 0.0000, 0.2256)
O (0.4723, 0.2256, 0.0000)
O (0.4723, 0.2467, 0.4723)
O (0.4723, 0.4723, 0.2467)
O (0.5277, 0.0000, 0.7744)
O (0.5277, 0.5277, 0.7533)
O (0.5277, 0.7533, 0.5277)
O (0.5277, 0.7744, 0.0000)
O (0.7533, 0.2256, 0.2256)
O (0.7533, 0.5277, 0.5277)
O (0.7744, 0.0000, 0.5277)
O (0.7744, 0.2467, 0.7744)
O (0.7744, 0.5277, 0.0000)
O (0.7744, 0.7744, 0.2467)

Most intense lines, 2θ = 10–90°, by angle:
- 2θ 29.03, I = 100.0
- 2θ 33.65, I = 35.0
- 2θ 48.33, I = 47.1
- 2θ 57.37, I = 43.1
- 2θ 78.22, I = 17.2
- 2θ 80.66, I = 13.3